(1)
Computed powder XRD pattern of Mg5Si6 for CuKα, from DFT lattice parameters and positions (PBE).
Intensities are scaled so that the largest is 100.

Peak list (6 most intense, 2θ from 10° to 90°, in order of rising 2θ)
| d (Å) | I/Imax |
| --- | --- |
| 2.552 | 88 |
| 2.477 | 74 |
| 2.470 | 83 |
| 2.425 | 61 |
| 2.315 | 87 |
| 2.169 | 100 |

a b c (Å): 5.056 5.974 14.047
angles (deg): 80.87 82.74 79.51
Positions (direct):
Mg (0.000, 0.000, 0.000)
Mg (0.020, 0.684, 0.575)
Mg (0.082, 0.457, 0.083)
Mg (0.126, 0.574, 0.868)
Mg (0.207, 0.184, 0.519)
Mg (0.282, 0.305, 0.290)
Mg (0.377, 0.781, 0.357)
Mg (0.537, 0.921, 0.832)
Mg (0.702, 0.403, 0.777)
Mg (0.785, 0.083, 0.405)
Si (0.039, 0.978, 0.738)
Si (0.242, 0.321, 0.710)
Si (0.424, 0.037, 0.143)
Si (0.457, 0.774, 0.651)
Si (0.478, 0.191, 0.973)
Si (0.517, 0.627, 0.157)
Si (0.576, 0.491, 0.531)
Si (0.602, 0.562, 0.980)
Si (0.699, 0.101, 0.617)
Si (0.839, 0.136, 0.205)
Si (0.910, 0.584, 0.399)
Si (0.919, 0.726, 0.224)

***

(2)
Computed powder XRD pattern of Mg3Si4 for CuKα, from DFT lattice parameters and positions (PBE).
Intensities are scaled so that the largest is 100.

Peak list (6 most intense, 2θ from 10° to 90°, in order of rising 2θ)
| d (Å) | I/Imax |
| --- | --- |
| 2.807 | 64 |
| 2.713 | 45 |
| 2.695 | 61 |
| 2.568 | 82 |
| 2.390 | 100 |
| 2.266 | 49 |

a b c (Å): 6.306 6.508 7.426
angles (deg): 66.62 71.91 83.61
Positions (direct):
Mg (0.000, 0.000, 0.000)
Mg (0.090, 0.448, 0.989)
Mg (0.214, 0.221, 0.526)
Mg (0.397, 0.708, 0.518)
Mg (0.492, 0.178, 0.121)
Mg (0.812, 0.814, 0.749)
Si (0.051, 0.031, 0.337)
Si (0.349, 0.605, 0.151)
Si (0.379, 0.864, 0.813)
Si (0.519, 0.251, 0.714)
Si (0.700, 0.232, 0.376)
Si (0.718, 0.643, 0.198)
Si (0.855, 0.385, 0.737)
Si (0.987, 0.654, 0.388)

***

(3)
Computed powder XRD pattern of Mg2Si3 for CuKα, from DFT lattice parameters and positions (PBE).
Intensities are scaled so that the largest is 100.

Peak list (6 most intense, 2θ from 10° to 90°, in order of rising 2θ)
| d (Å) | I/Imax |
| --- | --- |
| 2.574 | 77 |
| 2.472 | 100 |
| 2.452 | 90 |
| 2.302 | 49 |
| 2.195 | 83 |
| 2.150 | 46 |

a b c (Å): 5.482 5.482 8.990
angles (deg): 114.27 114.27 47.22
Positions (direct):
Mg (0.123, 0.123, 0.378)
Mg (0.156, 0.156, 0.026)
Mg (0.844, 0.844, 0.974)
Mg (0.877, 0.877, 0.622)
Si (0.211, 0.211, 0.715)
Si (0.410, 0.410, 0.354)
Si (0.482, 0.482, 0.843)
Si (0.518, 0.518, 0.157)
Si (0.590, 0.590, 0.646)
Si (0.789, 0.789, 0.285)

***

(4)
Computed powder XRD pattern of Mg2Si3 for CuKα, from DFT lattice parameters and positions (PBE).
Intensities are scaled so that the largest is 100.

Peak list (6 most intense, 2θ from 10° to 90°, in order of rising 2θ)
| d (Å) | I/Imax |
| --- | --- |
| 2.704 | 61 |
| 2.669 | 45 |
| 2.477 | 47 |
| 2.404 | 100 |
| 2.372 | 81 |
| 2.329 | 75 |

a b c (Å): 3.955 5.876 16.426
angles (deg): 94.81 94.36 97.50
Positions (direct):
Mg (0.000, 0.000, 0.000)
Mg (0.001, 0.266, 0.714)
Mg (0.110, 0.803, 0.222)
Mg (0.137, 0.312, 0.163)
Mg (0.207, 0.804, 0.672)
Mg (0.235, 0.120, 0.389)
Mg (0.554, 0.279, 0.887)
Mg (0.700, 0.835, 0.494)
Si (0.098, 0.465, 0.517)
Si (0.110, 0.514, 0.997)
Si (0.154, 0.611, 0.384)
Si (0.315, 0.131, 0.565)
Si (0.398, 0.775, 0.893)
Si (0.564, 0.991, 0.119)
Si (0.591, 0.575, 0.768)
Si (0.621, 0.516, 0.299)
Si (0.635, 0.503, 0.607)
Si (0.642, 0.587, 0.087)
Si (0.688, 0.115, 0.271)
Si (0.934, 0.930, 0.819)

***

(5)
Computed powder XRD pattern of Mg4Si3 for CuKα, from DFT lattice parameters and positions (PBE).
Intensities are scaled so that the largest is 100.

Peak list (6 most intense, 2θ from 10° to 90°, in order of rising 2θ)
| d (Å) | I/Imax |
| --- | --- |
| 2.517 | 88 |
| 2.462 | 75 |
| 2.442 | 100 |
| 2.396 | 66 |
| 2.317 | 92 |
| 2.023 | 65 |

a b c (Å): 6.236 7.306 12.557
angles (deg): 95.84 93.71 105.93
Positions (direct):
Mg (0.000, 0.000, 0.000)
Mg (0.005, 0.939, 0.508)
Mg (0.133, 0.633, 0.071)
Mg (0.140, 0.383, 0.823)
Mg (0.218, 0.985, 0.735)
Mg (0.265, 0.424, 0.423)
Mg (0.314, 0.061, 0.329)
Mg (0.474, 0.823, 0.529)
Mg (0.508, 0.717, 0.279)
Mg (0.552, 0.017, 0.120)
Mg (0.624, 0.617, 0.000)
Mg (0.638, 0.359, 0.785)
Mg (0.677, 0.871, 0.767)
Mg (0.741, 0.422, 0.213)
Mg (0.773, 0.207, 0.418)
Mg (0.956, 0.553, 0.626)
Si (0.007, 0.195, 0.227)
Si (0.078, 0.701, 0.333)
Si (0.321, 0.335, 0.129)
Si (0.364, 0.833, 0.914)
Si (0.387, 0.513, 0.651)
Si (0.413, 0.194, 0.947)
Si (0.421, 0.202, 0.569)
Si (0.751, 0.576, 0.432)
Si (0.789, 0.148, 0.633)
Si (0.813, 0.292, 0.990)
Si (0.897, 0.846, 0.186)
Si (0.968, 0.699, 0.844)

***

(6)
Computed powder XRD pattern of Mg3Si4 for CuKα, from DFT lattice parameters and positions (PBE).
Intensities are scaled so that the largest is 100.

Peak list (6 most intense, 2θ from 10° to 90°, in order of rising 2θ)
| d (Å) | I/Imax |
| --- | --- |
| 2.416 | 100 |
| 2.398 | 97 |
| 2.345 | 83 |
| 2.306 | 67 |
| 2.284 | 81 |
| 2.132 | 65 |

a b c (Å): 3.589 7.806 9.766
angles (deg): 68.31 80.64 78.16
Positions (direct):
Mg (0.000, 0.000, 0.000)
Mg (0.110, 0.192, 0.680)
Mg (0.373, 0.026, 0.250)
Mg (0.588, 0.668, 0.175)
Mg (0.734, 0.103, 0.464)
Mg (0.853, 0.542, 0.734)
Si (0.159, 0.382, 0.321)
Si (0.215, 0.646, 0.942)
Si (0.280, 0.839, 0.615)
Si (0.366, 0.314, 0.951)
Si (0.552, 0.464, 0.489)
Si (0.683, 0.876, 0.797)
Si (0.787, 0.332, 0.125)
Si (0.962, 0.717, 0.424)

***

(7)
Computed powder XRD pattern of Mg5Si6 for CuKα, from DFT lattice parameters and positions (PBE).
Intensities are scaled so that the largest is 100.

Peak list (6 most intense, 2θ from 10° to 90°, in order of rising 2θ)
| d (Å) | I/Imax |
| --- | --- |
| 2.483 | 64 |
| 2.470 | 79 |
| 2.421 | 67 |
| 2.341 | 60 |
| 2.161 | 100 |
| 2.134 | 41 |

a b c (Å): 7.392 4.323 12.647
angles (deg): 90.00 96.14 90.00
Positions (direct):
Mg (0.000, 0.000, 0.000)
Mg (0.008, 0.000, 0.490)
Mg (0.042, 0.000, 0.747)
Mg (0.251, 0.000, 0.269)
Mg (0.390, 0.000, 0.623)
Mg (0.408, 0.000, 0.911)
Mg (0.573, 0.000, 0.430)
Mg (0.685, 0.500, 0.049)
Mg (0.744, 0.500, 0.626)
Mg (0.824, 0.000, 0.240)
Si (0.029, 0.500, 0.151)
Si (0.069, 0.500, 0.342)
Si (0.142, 0.500, 0.621)
Si (0.166, 0.500, 0.888)
Si (0.309, 0.500, 0.071)
Si (0.334, 0.500, 0.468)
Si (0.402, 0.500, 0.763)
Si (0.486, 0.000, 0.127)
Si (0.538, 0.500, 0.258)
Si (0.675, 0.000, 0.781)
Si (0.784, 0.500, 0.407)
Si (0.832, 0.500, 0.856)

***

(8)
Computed powder XRD pattern of Mg5Si6 for CuKα, from DFT lattice parameters and positions (PBE).
Intensities are scaled so that the largest is 100.

Peak list (6 most intense, 2θ from 10° to 90°, in order of rising 2θ)
| d (Å) | I/Imax |
| --- | --- |
| 2.615 | 100 |
| 2.502 | 90 |
| 2.441 | 77 |
| 2.408 | 69 |
| 2.273 | 45 |
| 2.100 | 89 |

a b c (Å): 15.156 15.156 6.481
angles (deg): 97.72 97.72 15.93
Positions (direct):
Mg (0.000, 0.000, 0.000)
Mg (0.219, 0.219, 0.665)
Mg (0.254, 0.254, 0.199)
Mg (0.334, 0.334, 0.881)
Mg (0.368, 0.368, 0.415)
Mg (0.521, 0.521, 0.525)
Mg (0.583, 0.583, 0.066)
Mg (0.625, 0.625, 0.594)
Mg (0.794, 0.794, 0.541)
Mg (0.952, 0.952, 0.479)
Si (0.070, 0.070, 0.361)
Si (0.071, 0.071, 0.750)
Si (0.147, 0.147, 0.924)
Si (0.148, 0.148, 0.298)
Si (0.445, 0.445, 0.775)
Si (0.447, 0.447, 0.162)
Si (0.689, 0.689, 0.979)
Si (0.696, 0.696, 0.359)
Si (0.764, 0.764, 0.898)
Si (0.823, 0.823, 0.183)
Si (0.886, 0.886, 0.721)
Si (0.898, 0.898, 0.095)